[1]
Starting from a DFT-relaxed cell (GGA-PBE, Alexandria), the PXRD pattern of PmDy7Tm2 was computed for λ = 1.5418 Å (Cu Kα).

The 10 most intense peaks (2θ = 15–90°), by intensity:
2θ 31.5, 2.837 Å, intensity 100; 2θ 30.9, 2.895 Å, intensity 86; 2θ 33.1, 2.709 Å, intensity 46; 2θ 33.5, 2.679 Å, intensity 42; 2θ 47.7, 1.905 Å, intensity 31; 2θ 62.4, 1.489 Å, intensity 29; 2θ 34.5, 2.598 Å, intensity 19; 2θ 59.0, 1.566 Å, intensity 18; 2θ 58.1, 1.588 Å, intensity 18; 2θ 41.5, 2.175 Å, intensity 16

Cell and atoms:
Cell lengths 9.4246, 9.4246, 6.9985 Å; angles 111.73, 111.73, 33.41 degrees
Fractional coordinates of all 10 atoms:
Pm  0.0000  0.0000  0.0000
Dy  0.0000  0.0000  0.5000
Dy  0.2002  0.2002  0.2001
Dy  0.3896  0.3896  0.1408
Dy  0.3896  0.3896  0.6375
Dy  0.6104  0.6104  0.3625
Dy  0.6104  0.6104  0.8592
Dy  0.7998  0.7998  0.7999
Tm  0.1993  0.1993  0.6993
Tm  0.8007  0.8007  0.3007


[2]
Starting from a DFT-relaxed cell (GGA-PBE, Alexandria), the PXRD pattern of Pm19Dy6Tm4 was computed for λ = 1.5418 Å (Cu Kα).

The 10 most intense peaks (2θ = 15–90°), by intensity:
2θ 30.1, 2.970 Å, intensity 100; 2θ 36.4, 2.471 Å, intensity 70; 2θ 28.3, 3.150 Å, intensity 52; 2θ 26.5, 3.367 Å, intensity 48; 2θ 34.9, 2.572 Å, intensity 39; 2θ 59.6, 1.551 Å, intensity 27; 2θ 53.4, 1.715 Å, intensity 25; 2θ 60.6, 1.528 Å, intensity 23; 2θ 41.8, 2.161 Å, intensity 21; 2θ 33.4, 2.686 Å, intensity 18

Cell and atoms:
Cell lengths 10.9110, 10.9110, 10.9110 Å; angles 109.47, 109.47, 109.47 degrees
Fractional coordinates of all 29 atoms:
Pm  0.0000  0.0000  0.0000
Pm  0.0000  0.2596  0.2596
Pm  0.0000  0.7404  0.7404
Pm  0.0200  0.8018  0.3439
Pm  0.1982  0.2182  0.5421
Pm  0.2182  0.5421  0.1982
Pm  0.2596  0.0000  0.2596
Pm  0.2596  0.2596  0.0000
Pm  0.3239  0.7818  0.9800
Pm  0.3439  0.0200  0.8018
Pm  0.4579  0.6761  0.6561
Pm  0.5421  0.1982  0.2182
Pm  0.6561  0.4579  0.6761
Pm  0.6761  0.6561  0.4579
Pm  0.7404  0.0000  0.7404
Pm  0.7404  0.7404  0.0000
Pm  0.7818  0.9800  0.3239
Pm  0.8018  0.3439  0.0200
Pm  0.9800  0.3239  0.7818
Dy  0.1256  0.6256  0.5000
Dy  0.3744  0.5000  0.8744
Dy  0.5000  0.1256  0.6256
Dy  0.5000  0.8744  0.3744
Dy  0.6256  0.5000  0.1256
Dy  0.8744  0.3744  0.5000
Tm  0.0000  0.0000  0.6408
Tm  0.0000  0.6408  0.0000
Tm  0.3592  0.3592  0.3592
Tm  0.6408  0.0000  0.0000


[3]
Starting from a DFT-relaxed cell (GGA-PBE, Alexandria), the PXRD pattern of Pm9Dy11Tm4 was computed for λ = 1.5418 Å (Cu Kα).

The 10 most intense peaks (2θ = 15–90°), by intensity:
2θ 30.0, 2.980 Å, intensity 100; 2θ 32.2, 2.782 Å, intensity 86; 2θ 32.4, 2.766 Å, intensity 68; 2θ 30.9, 2.891 Å, intensity 23; 2θ 59.0, 1.566 Å, intensity 23; 2θ 49.5, 1.842 Å, intensity 18; 2θ 34.0, 2.634 Å, intensity 14; 2θ 32.0, 2.797 Å, intensity 12; 2θ 32.8, 2.729 Å, intensity 11; 2θ 28.6, 3.118 Å, intensity 11

Cell and atoms:
Cell lengths 15.2330, 15.2330, 3.6830 Å; angles 90.00, 90.00, 113.24 degrees
Fractional coordinates of all 24 atoms:
Pm  0.0000  0.0000  0.0000
Pm  0.1295  0.6639  0.0000
Pm  0.2858  0.4333  0.0000
Pm  0.3361  0.8705  0.0000
Pm  0.4333  0.2858  0.0000
Pm  0.5667  0.7142  0.0000
Pm  0.6639  0.1295  0.0000
Pm  0.7142  0.5667  0.0000
Pm  0.8705  0.3361  0.0000
Dy  0.0941  0.4549  0.5000
Dy  0.1316  0.8684  0.5000
Dy  0.2088  0.2088  0.5000
Dy  0.3388  0.6612  0.5000
Dy  0.4549  0.0941  0.5000
Dy  0.5000  0.5000  0.5000
Dy  0.5451  0.9059  0.5000
Dy  0.6612  0.3388  0.5000
Dy  0.7912  0.7912  0.5000
Dy  0.8684  0.1316  0.5000
Dy  0.9059  0.5451  0.5000
Tm  0.0553  0.2567  0.0000
Tm  0.2567  0.0553  0.0000
Tm  0.7433  0.9447  0.0000
Tm  0.9447  0.7433  0.0000


[4]
Starting from a DFT-relaxed cell (GGA-PBE, Alexandria), the PXRD pattern of Pm2Dy5Tm2 was computed for λ = 1.5418 Å (Cu Kα).

The 10 most intense peaks (2θ = 15–90°), by intensity:
2θ 32.2, 2.781 Å, intensity 100; 2θ 32.3, 2.767 Å, intensity 94; 2θ 31.1, 2.874 Å, intensity 57; 2θ 29.9, 2.988 Å, intensity 51; 2θ 43.7, 2.071 Å, intensity 36; 2θ 59.0, 1.566 Å, intensity 22; 2θ 56.0, 1.641 Å, intensity 21; 2θ 56.2, 1.638 Å, intensity 20; 2θ 54.4, 1.685 Å, intensity 17; 2θ 48.8, 1.868 Å, intensity 16

Cell and atoms:
Cell lengths 8.7076, 8.7076, 6.3316 Å; angles 104.34, 104.34, 38.55 degrees
Fractional coordinates of all 9 atoms:
Pm  0.0638  0.0638  0.2883
Pm  0.9362  0.9362  0.7117
Dy  0.1813  0.1813  0.8610
Dy  0.2915  0.2915  0.4284
Dy  0.5000  0.5000  0.5000
Dy  0.7085  0.7085  0.5716
Dy  0.8187  0.8187  0.1390
Tm  0.3976  0.3976  0.9784
Tm  0.6024  0.6024  0.0216


Copy entry 3 word for word.
Starting from a DFT-relaxed cell (GGA-PBE, Alexandria), the PXRD pattern of Pm9Dy11Tm4 was computed for λ = 1.5418 Å (Cu Kα).

The 10 most intense peaks (2θ = 15–90°), by intensity:
2θ 30.0, 2.980 Å, intensity 100; 2θ 32.2, 2.782 Å, intensity 86; 2θ 32.4, 2.766 Å, intensity 68; 2θ 30.9, 2.891 Å, intensity 23; 2θ 59.0, 1.566 Å, intensity 23; 2θ 49.5, 1.842 Å, intensity 18; 2θ 34.0, 2.634 Å, intensity 14; 2θ 32.0, 2.797 Å, intensity 12; 2θ 32.8, 2.729 Å, intensity 11; 2θ 28.6, 3.118 Å, intensity 11

Cell and atoms:
Cell lengths 15.2330, 15.2330, 3.6830 Å; angles 90.00, 90.00, 113.24 degrees
Fractional coordinates of all 24 atoms:
Pm  0.0000  0.0000  0.0000
Pm  0.1295  0.6639  0.0000
Pm  0.2858  0.4333  0.0000
Pm  0.3361  0.8705  0.0000
Pm  0.4333  0.2858  0.0000
Pm  0.5667  0.7142  0.0000
Pm  0.6639  0.1295  0.0000
Pm  0.7142  0.5667  0.0000
Pm  0.8705  0.3361  0.0000
Dy  0.0941  0.4549  0.5000
Dy  0.1316  0.8684  0.5000
Dy  0.2088  0.2088  0.5000
Dy  0.3388  0.6612  0.5000
Dy  0.4549  0.0941  0.5000
Dy  0.5000  0.5000  0.5000
Dy  0.5451  0.9059  0.5000
Dy  0.6612  0.3388  0.5000
Dy  0.7912  0.7912  0.5000
Dy  0.8684  0.1316  0.5000
Dy  0.9059  0.5451  0.5000
Tm  0.0553  0.2567  0.0000
Tm  0.2567  0.0553  0.0000
Tm  0.7433  0.9447  0.0000
Tm  0.9447  0.7433  0.0000